1.
Structure and calculated X-ray diffraction stick pattern of Ca6Bi5Pb (a crystal structure in Alexandria, relaxed with PBE; Cu Kα, 1.54184 Å).
Peak positions follow from Bragg's law for the DFT cell and can differ from measured ones.

Most intense lines, 2θ from 10° to 90°, by angle:
| 2θ (°) | d (Å) | I_rel |
| --- | --- | --- |
| 20.4 | 4.363 | 58 |
| 22.9 | 3.880 | 44 |
| 24.1 | 3.691 | 37 |
| 30.8 | 2.900 | 100 |
| 31.8 | 2.818 | 90 |
| 33.5 | 2.674 | 78 |
| 39.5 | 2.280 | 44 |
| 54.3 | 1.690 | 39 |

a = 5.7124 Å, b = 7.7608 Å, c = 8.5782 Å
α = 90.00°, β = 99.63°, γ = 90.00°
Positions (direct):
1 Ca 0.0000 0.2475 0.0000
2 Ca 0.0000 0.7525 0.0000
3 Ca 0.3127 0.2515 0.6577
4 Ca 0.3127 0.7485 0.6577
5 Ca 0.6873 0.2515 0.3423
6 Ca 0.6873 0.7485 0.3423
7 Bi 0.1802 0.0000 0.3275
8 Bi 0.1901 0.5000 0.3173
9 Bi 0.5000 0.0000 0.0000
10 Bi 0.8099 0.5000 0.6827
11 Bi 0.8198 0.0000 0.6725
12 Pb 0.5000 0.5000 0.0000



2.
Structure and calculated X-ray diffraction stick pattern of Mg5Si9 (a crystal structure in Alexandria, relaxed with PBE; Cu Kα, 1.54184 Å).
Peak positions follow from Bragg's law for the DFT cell and can differ from measured ones.

Most intense lines, 2θ from 10° to 90°, by angle:
| 2θ (°) | d (Å) | I_rel |
| --- | --- | --- |
| 28.9 | 3.091 | 61 |
| 32.5 | 2.754 | 69 |
| 32.6 | 2.744 | 100 |
| 34.1 | 2.631 | 59 |
| 34.2 | 2.619 | 54 |
| 34.6 | 2.592 | 94 |
| 37.2 | 2.418 | 70 |
| 38.3 | 2.351 | 59 |

a = 6.7832 Å, b = 7.2365 Å, c = 12.4931 Å
α = 89.53°, β = 84.66°, γ = 63.00°
Positions (direct):
1 Mg 0.0000 0.0000 0.0000
2 Mg 0.0061 0.4030 0.9382
3 Mg 0.0346 0.7453 0.7746
4 Mg 0.2438 0.9507 0.2438
5 Mg 0.2682 0.0984 0.4810
6 Mg 0.4534 0.7775 0.8145
7 Mg 0.5960 0.2345 0.8585
8 Mg 0.6098 0.2715 0.4815
9 Mg 0.7999 0.3699 0.2595
10 Mg 0.8586 0.4525 0.6359
11 Si 0.0124 0.6468 0.1602
12 Si 0.0700 0.1245 0.7718
13 Si 0.0916 0.5183 0.4615
14 Si 0.1855 0.3766 0.2842
15 Si 0.2571 0.5838 0.9939
16 Si 0.2651 0.6975 0.5387
17 Si 0.3760 0.1846 0.6954
18 Si 0.3820 0.0495 0.0482
19 Si 0.4354 0.4870 0.6831
20 Si 0.4943 0.6939 0.3834
21 Si 0.5254 0.1924 0.1784
22 Si 0.6244 0.3998 0.0538
23 Si 0.6618 0.6990 0.1054
24 Si 0.6989 0.8902 0.6222
25 Si 0.7160 0.8376 0.9357
26 Si 0.7459 0.8147 0.4298
27 Si 0.8323 0.9719 0.2738
28 Si 0.9595 0.0300 0.6067



3.
Structure and calculated X-ray diffraction stick pattern of Li3AlCd (a crystal structure in Alexandria, relaxed with PBE; Cu Kα, 1.54184 Å).
Peak positions follow from Bragg's law for the DFT cell and can differ from measured ones.

Most intense lines, 2θ from 10° to 90°, by angle:
| 2θ (°) | d (Å) | I_rel |
| --- | --- | --- |
| 12.8 | 6.894 | 79 |
| 20.5 | 4.323 | 100 |
| 25.9 | 3.447 | 37 |
| 27.6 | 3.235 | 32 |
| 31.4 | 2.850 | 25 |
| 37.8 | 2.380 | 54 |
| 38.2 | 2.359 | 32 |
| 41.1 | 2.197 | 22 |

a = 4.5530 Å, b = 5.7006 Å, c = 7.2590 Å
α = 90.00°, β = 108.24°, γ = 90.00°
Positions (direct):
1 Li 0.1090 0.0047 0.2214
2 Li 0.1090 0.4953 0.2214
3 Li 0.3102 0.2500 0.6229
4 Li 0.6898 0.7500 0.3771
5 Li 0.8910 0.5047 0.7786
6 Li 0.8910 0.9953 0.7786
7 Al 0.2903 0.7500 0.5760
8 Al 0.7097 0.2500 0.4240
9 Cd 0.4921 0.7500 0.9725
10 Cd 0.5079 0.2500 0.0275



4.
Structure and calculated X-ray diffraction stick pattern of NdH7Rh2Au (a crystal structure in Alexandria, relaxed with PBE; Cu Kα, 1.54184 Å).
Peak positions follow from Bragg's law for the DFT cell and can differ from measured ones.

Most intense lines, 2θ from 10° to 90°, by angle:
| 2θ (°) | d (Å) | I_rel |
| --- | --- | --- |
| 24.5 | 3.636 | 61 |
| 29.4 | 3.041 | 100 |
| 35.9 | 2.505 | 84 |
| 37.4 | 2.403 | 81 |
| 41.2 | 2.192 | 24 |
| 48.7 | 1.869 | 39 |
| 57.9 | 1.592 | 30 |
| 63.0 | 1.475 | 35 |

a = 8.2783 Å, b = 8.2783 Å, c = 8.2783 Å
α = 153.91°, β = 153.91°, γ = 37.24°
Positions (direct):
1 Nd 0.0000 0.0000 0.0000
2 H 0.1099 0.6099 0.5000
3 H 0.2753 0.2753 0.0000
4 H 0.3901 0.8901 0.5000
5 H 0.5000 0.5000 0.0000
6 H 0.6102 0.1102 0.5000
7 H 0.7247 0.7247 0.0000
8 H 0.8898 0.3898 0.5000
9 Rh 0.3896 0.3896 0.0000
10 Rh 0.6104 0.6104 0.0000
11 Au 0.7500 0.2500 0.5000



5.
Structure and calculated X-ray diffraction stick pattern of Ta4AlOs (a crystal structure in Alexandria, relaxed with PBE; Cu Kα, 1.54184 Å).
Peak positions follow from Bragg's law for the DFT cell and can differ from measured ones.

Most intense lines, 2θ from 10° to 90°, by angle:
| 2θ (°) | d (Å) | I_rel |
| --- | --- | --- |
| 20.4 | 4.353 | 36 |
| 33.6 | 2.666 | 13 |
| 39.6 | 2.273 | 100 |
| 41.5 | 2.177 | 58 |
| 48.3 | 1.885 | 13 |
| 64.2 | 1.451 | 33 |
| 70.7 | 1.333 | 29 |
| 85.4 | 1.137 | 23 |

a = 5.3313 Å, b = 5.3313 Å, c = 5.3313 Å
α = 60.00°, β = 60.00°, γ = 60.00°
Positions (direct):
1 Ta 0.1246 0.1246 0.1246
2 Ta 0.1246 0.1246 0.6263
3 Ta 0.1246 0.6263 0.1246
4 Ta 0.6263 0.1246 0.1246
5 Al 0.7500 0.7500 0.7500
6 Os 0.5000 0.5000 0.5000



6.
Structure and calculated X-ray diffraction stick pattern of LaCuSeS (a crystal structure in Alexandria, relaxed with PBE; Cu Kα, 1.54184 Å).
Peak positions follow from Bragg's law for the DFT cell and can differ from measured ones.

Most intense lines, 2θ from 10° to 90°, by angle:
| 2θ (°) | d (Å) | I_rel |
| --- | --- | --- |
| 25.5 | 3.493 | 100 |
| 26.8 | 3.330 | 31 |
| 35.7 | 2.512 | 83 |
| 40.6 | 2.224 | 93 |
| 45.0 | 2.017 | 20 |
| 52.9 | 1.732 | 19 |
| 55.2 | 1.665 | 23 |
| 70.7 | 1.333 | 21 |

a = 11.3397 Å, b = 11.3397 Å, c = 11.3397 Å
α = 22.62°, β = 22.62°, γ = 22.62°
Positions (direct):
1 La 0.1057 0.1057 0.1057
2 La 0.8943 0.8943 0.8943
3 Cu 0.3043 0.3043 0.3043
4 Cu 0.6957 0.6957 0.6957
5 Se 0.3799 0.3799 0.3799
6 Se 0.6201 0.6201 0.6201
7 S 0.1977 0.1977 0.1977
8 S 0.8023 0.8023 0.8023



7.
Structure and calculated X-ray diffraction stick pattern of Mg4Te3Se (a crystal structure in Alexandria, relaxed with PBE; Cu Kα, 1.54184 Å).
Peak positions follow from Bragg's law for the DFT cell and can differ from measured ones.

Most intense lines, 2θ from 10° to 90°, by angle:
| 2θ (°) | d (Å) | I_rel |
| --- | --- | --- |
| 24.2 | 3.684 | 100 |
| 27.9 | 3.196 | 20 |
| 39.9 | 2.260 | 19 |
| 40.0 | 2.254 | 36 |
| 47.2 | 1.926 | 32 |
| 47.4 | 1.919 | 14 |
| 63.6 | 1.463 | 12 |
| 72.5 | 1.304 | 12 |

a = 4.5199 Å, b = 4.5199 Å, c = 12.7146 Å
α = 90.00°, β = 90.00°, γ = 90.00°
Positions (direct):
1 Mg 0.0000 0.5000 0.1080
2 Mg 0.0000 0.5000 0.6312
3 Mg 0.5000 0.0000 0.3688
4 Mg 0.5000 0.0000 0.8920
5 Te 0.0000 0.0000 0.2383
6 Te 0.0000 0.0000 0.7617
7 Te 0.5000 0.5000 0.5000
8 Se 0.5000 0.5000 0.0000



8.
Structure and calculated X-ray diffraction stick pattern of RbMn2AuBr8 (a crystal structure in Alexandria, relaxed with PBE; Cu Kα, 1.54184 Å).
Peak positions follow from Bragg's law for the DFT cell and can differ from measured ones.

Most intense lines, 2θ from 10° to 90°, by angle:
| 2θ (°) | d (Å) | I_rel |
| --- | --- | --- |
| 14.7 | 6.014 | 28 |
| 17.3 | 5.113 | 72 |
| 23.5 | 3.778 | 36 |
| 25.7 | 3.472 | 26 |
| 27.3 | 3.270 | 71 |
| 31.7 | 2.824 | 100 |
| 45.2 | 2.005 | 57 |
| 45.6 | 1.990 | 59 |

a = 6.9446 Å, b = 6.9446 Å, c = 9.7105 Å
α = 90.00°, β = 90.00°, γ = 120.00°
Positions (direct):
1 Rb 0.0000 0.0000 0.0000
2 Mn 0.3333 0.6667 0.7381
3 Mn 0.6667 0.3333 0.2619
4 Au 0.0000 0.0000 0.5000
5 Br 0.0075 0.3179 0.6700
6 Br 0.3104 0.9925 0.6700
7 Br 0.3179 0.3104 0.3300
8 Br 0.3333 0.6667 0.9838
9 Br 0.6667 0.3333 0.0162
10 Br 0.6821 0.6896 0.6700
11 Br 0.6896 0.0075 0.3300
12 Br 0.9925 0.6821 0.3300



9.
Structure and calculated X-ray diffraction stick pattern of Li2Al2Au (a crystal structure in Alexandria, relaxed with PBE; Cu Kα, 1.54184 Å).
Peak positions follow from Bragg's law for the DFT cell and can differ from measured ones.

Most intense lines, 2θ from 10° to 90°, by angle:
| 2θ (°) | d (Å) | I_rel |
| --- | --- | --- |
| 18.6 | 4.761 | 100 |
| 23.8 | 3.745 | 58 |
| 26.5 | 3.366 | 51 |
| 30.4 | 2.944 | 68 |
| 35.9 | 2.504 | 52 |
| 42.5 | 2.129 | 48 |
| 45.1 | 2.009 | 29 |
| 49.2 | 1.851 | 57 |

a = 6.7327 Å, b = 6.7327 Å, c = 3.7453 Å
α = 90.00°, β = 90.00°, γ = 90.00°
Positions (direct):
1 Li 0.1618 0.3382 0.0000
2 Li 0.3382 0.8382 0.0000
3 Li 0.6618 0.1618 0.0000
4 Li 0.8382 0.6618 0.0000
5 Al 0.1393 0.6393 0.5000
6 Al 0.3607 0.1393 0.5000
7 Al 0.6393 0.8607 0.5000
8 Al 0.8607 0.3607 0.5000
9 Au 0.0000 0.0000 0.5000
10 Au 0.5000 0.5000 0.5000



10.
Structure and calculated X-ray diffraction stick pattern of Pm2Co3B2 (a crystal structure in Alexandria, relaxed with PBE; Cu Kα, 1.54184 Å).
Peak positions follow from Bragg's law for the DFT cell and can differ from measured ones.

Most intense lines, 2θ from 10° to 90°, by angle:
| 2θ (°) | d (Å) | I_rel |
| --- | --- | --- |
| 30.0 | 2.982 | 100 |
| 34.3 | 2.612 | 51 |
| 37.6 | 2.393 | 85 |
| 37.7 | 2.383 | 40 |
| 38.7 | 2.325 | 37 |
| 41.9 | 2.155 | 40 |
| 45.7 | 1.986 | 36 |
| 68.0 | 1.379 | 31 |

a = 10.1906 Å, b = 3.3841 Å, c = 6.4695 Å
α = 90.00°, β = 116.78°, γ = 90.00°
Positions (direct):
1 Pm 0.1285 0.0000 0.2694
2 Pm 0.3715 0.5000 0.7306
3 Pm 0.6285 0.5000 0.2694
4 Pm 0.8715 0.0000 0.7306
5 Co 0.0000 0.5000 0.5000
6 Co 0.1541 0.5000 0.9214
7 Co 0.3459 0.0000 0.0786
8 Co 0.5000 0.0000 0.5000
9 Co 0.6541 0.0000 0.9214
10 Co 0.8459 0.5000 0.0786
11 B 0.1430 0.0000 0.7468
12 B 0.3570 0.5000 0.2532
13 B 0.6430 0.5000 0.7468
14 B 0.8570 0.0000 0.2532



11.
Structure and calculated X-ray diffraction stick pattern of Pr5CdHg3 (a crystal structure in Alexandria, relaxed with PBE; Cu Kα, 1.54184 Å).
Peak positions follow from Bragg's law for the DFT cell and can differ from measured ones.

Most intense lines, 2θ from 10° to 90°, by angle:
| 2θ (°) | d (Å) | I_rel |
| --- | --- | --- |
| 25.9 | 3.436 | 14 |
| 31.5 | 2.840 | 25 |
| 32.1 | 2.787 | 98 |
| 32.6 | 2.751 | 100 |
| 42.1 | 2.147 | 15 |
| 46.4 | 1.958 | 30 |
| 57.8 | 1.595 | 27 |
| 63.9 | 1.457 | 29 |

a = 9.5286 Å, b = 9.5286 Å, c = 6.8723 Å
α = 90.00°, β = 90.00°, γ = 120.00°
Positions (direct):
1 Pr 0.0000 0.2977 0.2500
2 Pr 0.0000 0.7023 0.7500
3 Pr 0.2977 0.0000 0.2500
4 Pr 0.2977 0.2977 0.7500
5 Pr 0.3333 0.6667 0.0000
6 Pr 0.3333 0.6667 0.5000
7 Pr 0.6667 0.3333 0.0000
8 Pr 0.6667 0.3333 0.5000
9 Pr 0.7023 0.0000 0.7500
10 Pr 0.7023 0.7023 0.2500
11 Cd 0.0000 0.0000 0.0000
12 Cd 0.0000 0.0000 0.5000
13 Hg 0.0000 0.3661 0.7500
14 Hg 0.0000 0.6339 0.2500
15 Hg 0.3661 0.0000 0.7500
16 Hg 0.3661 0.3661 0.2500
17 Hg 0.6339 0.0000 0.2500
18 Hg 0.6339 0.6339 0.7500



12.
Structure and calculated X-ray diffraction stick pattern of PrSmIn3 (a crystal structure in Alexandria, relaxed with PBE; Cu Kα, 1.54184 Å).
Peak positions follow from Bragg's law for the DFT cell and can differ from measured ones.

Most intense lines, 2θ from 10° to 90°, by angle:
| 2θ (°) | d (Å) | I_rel |
| --- | --- | --- |
| 15.5 | 5.729 | 88 |
| 30.2 | 2.959 | 60 |
| 31.2 | 2.865 | 62 |
| 31.4 | 2.853 | 100 |
| 34.1 | 2.628 | 40 |
| 35.9 | 2.500 | 42 |
| 39.4 | 2.289 | 69 |
| 46.2 | 1.965 | 46 |

a = 12.1455 Å, b = 12.1455 Å, c = 12.1455 Å
α = 151.79°, β = 151.79°, γ = 40.31°
Positions (direct):
1 Pr 0.0000 0.0000 0.0000
2 Pr 0.7500 0.2500 0.5000
3 Sm 0.4192 0.4192 0.0000
4 Sm 0.5808 0.5808 0.0000
5 In 0.0010 0.5010 0.5000
6 In 0.3745 0.1273 0.2473
7 In 0.4990 0.9990 0.5000
8 In 0.8727 0.1200 0.2473
9 In 0.8727 0.6255 0.7527
10 In 0.8800 0.1273 0.7527